Record 1
Theoretical powder diffraction line list
Compound: Hf9Re4Se
Radiation: λ = 1.5418 Å (Cu Kα)
Structure: a cell relaxed with GGA-PBE
Intensities are scaled so that the largest is 1000.

Atomic structure:
a b c (Å): 8.6593 8.6593 8.6160
angles (deg): 90.00 90.00 120.00
Space group P6_3/mmc (No. 194)
Symmetry-distinct sites (fractional):
1 Hf 0.0878 0.5439 0.2500 [6 per cell]
2 Hf 0.1915 0.3829 0.5485 [12 per cell]
3 Re 0.0000 0.0000 0.0000 [2 per cell]
4 Re 0.1105 0.2210 0.2500 [6 per cell]
5 Se 0.3333 0.6667 0.7500 [2 per cell]

Largest 6 diffraction maxima, sorted by position, 2θ from 10° to 90°:
| h k l | 2theta | d/Å | Rel. int. |
| --- | --- | --- | --- |
| 1 0 0 | 11.80 | 7.499 | 299 |
| 2 0 2 | 31.61 | 2.830 | 266 |
| 3 0 1 | 37.46 | 2.401 | 670 |
| 2 1 2 | 38.00 | 2.368 | 1000 |
| 2 0 3 | 39.52 | 2.280 | 474 |
| 2 2 0 | 41.73 | 2.165 | 321 |

Record 2
Theoretical powder diffraction line list
Compound: HfReSi2
Radiation: λ = 1.5418 Å (Cu Kα)
Structure: a cell relaxed with GGA-PBE
Intensities are scaled so that the largest is 1000.

Atomic structure:
a b c (Å): 9.1864 10.0830 8.0921
angles (deg): 90.00 90.00 90.00
Space group Pbam (No. 55)
Symmetry-distinct sites (fractional):
1 Hf 0.1698 0.1788 0.0000 [4 per cell]
2 Hf 0.1749 0.4509 0.2478 [8 per cell]
3 Re 0.0000 0.0000 0.2444 [4 per cell]
4 Re 0.0852 0.7379 0.2492 [8 per cell]
5 Si 0.0344 0.6136 0.0000 [4 per cell]
6 Si 0.0380 0.6137 0.5000 [4 per cell]
7 Si 0.1245 0.9039 0.5000 [4 per cell]
8 Si 0.1318 0.8984 0.0000 [4 per cell]
9 Si 0.1661 0.1808 0.3540 [8 per cell]

Largest 6 diffraction maxima, sorted by position, 2θ from 10° to 90°:
| h k l | 2theta | d/Å | Rel. int. |
| --- | --- | --- | --- |
| 0 0 2 | 21.97 | 4.046 | 874 |
| 3 1 2 | 37.91 | 2.373 | 1000 |
| 3 3 0 | 39.82 | 2.264 | 482 |
| 2 3 2 | 40.02 | 2.253 | 818 |
| 0 4 2 | 42.24 | 2.140 | 517 |
| 0 0 4 | 44.80 | 2.023 | 466 |

Record 3
Theoretical powder diffraction line list
Compound: HfReSi
Radiation: λ = 1.5418 Å (Cu Kα)
Structure: a cell relaxed with GGA-PBE
Intensities are scaled so that the largest is 1000.

Atomic structure:
a b c (Å): 6.9668 6.9668 3.4051
angles (deg): 90.00 90.00 120.00
Space group P-62m (No. 189)
Symmetry-distinct sites (fractional):
1 Hf 0.0000 0.5954 0.0000 [3 per cell]
2 Re 0.0000 0.2560 0.5000 [3 per cell]
3 Si 0.0000 0.0000 0.0000 [1 per cell]
4 Si 0.3333 0.6667 0.5000 [2 per cell]

Largest 6 diffraction maxima, sorted by position, 2θ from 10° to 90°:
| h k l | 2theta | d/Å | Rel. int. |
| --- | --- | --- | --- |
| 1 1 0 | 25.57 | 3.483 | 259 |
| 1 1 1 | 36.91 | 2.435 | 1000 |
| 2 1 0 | 39.52 | 2.280 | 584 |
| 2 0 1 | 39.93 | 2.258 | 428 |
| 3 1 1 | 61.77 | 1.502 | 222 |
| 2 1 2 | 68.82 | 1.364 | 232 |